No. 1
# FeBr2
Computed X-ray powder pattern, copper Kα. Input: the PBE geometry in the Materials Project.

Atomic structure:
```
data_FeBr2
_cell_length_a 3.728
_cell_length_b 3.728
_cell_length_c 6.558
_cell_angle_alpha 90.00
_cell_angle_beta 90.00
_cell_angle_gamma 120.00
_symmetry_space_group_name_H-M 'P 1'
_symmetry_Int_Tables_number 1
_symmetry_space_group_name_Hall 'P 1'
loop_
_atom_site_label
_atom_site_type_symbol
_atom_site_fract_x
_atom_site_fract_y
_atom_site_fract_z
Fe1 Fe 0.000 0.000 0.000
Br1 Br 0.333 0.667 0.229
Br2 Br 0.667 0.333 0.771
```

Main lines, by angle (10° ≤ 2θ ≤ 80°):
hkl 0 0 1, 2θ = 13.50°, d 6.558, intensity 37; hkl 0 0 2, 2θ = 27.20°, d 3.279, intensity 10; hkl 0 1 1, 2θ = 30.87°, d 2.897, intensity 100; hkl 0 1 2, 2θ = 39.16°, d 2.301, intensity 48; hkl 1 1 0, 2θ = 48.86°, d 1.864, intensity 30; hkl 1 0 3, 2θ = 50.42°, d 1.810, intensity 28; hkl 2 0 1, 2θ = 58.92°, d 1.567, intensity 15; hkl 2 0 2, 2θ = 64.32°, d 1.448, intensity 10; hkl 1 1 4, 2θ = 77.55°, d 1.231, intensity 12; hkl 1 2 1, 2θ = 79.97°, d 1.200, intensity 12


No. 2
# CeCoSb2
Computed X-ray powder pattern, copper Kα. Input: the PBE geometry in the Materials Project.

Atomic structure:
```
data_CeCoSb2
_cell_length_a 4.378
_cell_length_b 4.378
_cell_length_c 9.587
_cell_angle_alpha 90.00
_cell_angle_beta 90.00
_cell_angle_gamma 90.00
_symmetry_space_group_name_H-M 'P 1'
_symmetry_Int_Tables_number 1
_symmetry_space_group_name_Hall 'P 1'
loop_
_atom_site_label
_atom_site_type_symbol
_atom_site_fract_x
_atom_site_fract_y
_atom_site_fract_z
Ce1 Ce 0.250 0.250 0.234
Ce2 Ce 0.750 0.750 0.766
Co1 Co 0.250 0.750 0.000
Co2 Co 0.750 0.250 0.000
Sb1 Sb 0.250 0.250 0.859
Sb2 Sb 0.250 0.750 0.500
Sb3 Sb 0.750 0.250 0.500
Sb4 Sb 0.750 0.750 0.141
```

Main lines, by angle (10° ≤ 2θ ≤ 80°):
hkl 0 0 3, 2θ = 27.92°, d 3.196, intensity 16; hkl 1 1 1, 2θ = 30.34°, d 2.946, intensity 26; hkl 1 1 2, 2θ = 34.49°, d 2.601, intensity 100; hkl 1 0 3, 2θ = 34.75°, d 2.581, intensity 29; hkl 2 0 0, 2θ = 41.24°, d 2.189, intensity 50; hkl 1 0 5, 2θ = 52.07°, d 1.756, intensity 15; hkl 2 1 3, 2θ = 55.00°, d 1.670, intensity 16; hkl 2 2 0, 2θ = 59.74°, d 1.548, intensity 16; hkl 2 1 5, 2θ = 68.48°, d 1.370, intensity 18; hkl 3 1 2, 2θ = 70.84°, d 1.330, intensity 24


No. 3
# CaMg6B
Computed X-ray powder pattern, copper Kα. Input: the PBE geometry in the Materials Project.

Atomic structure:
```
data_CaMg6B
_cell_length_a 4.606
_cell_length_b 5.875
_cell_length_c 13.374
_cell_angle_alpha 90.00
_cell_angle_beta 90.00
_cell_angle_gamma 90.00
_symmetry_space_group_name_H-M 'P 1'
_symmetry_Int_Tables_number 1
_symmetry_space_group_name_Hall 'P 1'
loop_
_atom_site_label
_atom_site_type_symbol
_atom_site_fract_x
_atom_site_fract_y
_atom_site_fract_z
Ca1 Ca 0.000 0.000 0.000
Ca2 Ca 0.000 0.500 0.500
Mg1 Mg 0.000 0.248 0.748
Mg2 Mg 0.000 0.252 0.248
Mg3 Mg 0.000 0.748 0.248
Mg4 Mg 0.000 0.752 0.748
Mg5 Mg 0.500 0.000 0.161
Mg6 Mg 0.500 0.000 0.606
Mg7 Mg 0.500 0.233 0.390
Mg8 Mg 0.500 0.267 0.890
Mg9 Mg 0.500 0.500 0.106
Mg10 Mg 0.500 0.500 0.661
Mg11 Mg 0.500 0.733 0.890
Mg12 Mg 0.500 0.767 0.390
B1 B 0.000 0.000 0.395
B2 B 0.000 0.500 0.895
```

Main lines, by angle (10° ≤ 2θ ≤ 80°):
hkl 1 1 1, 2θ = 25.46°, d 3.499, intensity 29; hkl 1 1 3, 2θ = 31.82°, d 2.812, intensity 29; hkl 1 0 4, 2θ = 33.11°, d 2.706, intensity 100; hkl 0 2 2, 2θ = 33.31°, d 2.690, intensity 46; hkl 0 1 5, 2θ = 36.92°, d 2.434, intensity 21; hkl 1 2 2, 2θ = 38.77°, d 2.323, intensity 99; hkl 2 0 0, 2θ = 39.12°, d 2.303, intensity 43; hkl 0 2 6, 2θ = 51.46°, d 1.776, intensity 18; hkl 2 2 2, 2θ = 52.30°, d 1.749, intensity 24; hkl 0 0 8, 2θ = 54.91°, d 1.672, intensity 28